The following is a simulated powder X-ray diffraction pattern of KSO3. It was derived from a crystal structure in the Materials Project, relaxed with GGA-PBE, using Cu Kα, 1.54184 Å.
Kinematic intensities with the Lorentz-polarization factor, no thermal factor.

Most intense lines, 10 to 90 degrees two-theta, most intense first:
hkl 1 1 0, 17.9°, I = 100; hkl 1 1 1, 22.6°, I = 99; hkl 1 1 2, 33.2°, I = 74; hkl 3 0 0, 31.2°, I = 54; hkl 0 2 1, 24.9°, I = 35; hkl 0 1 2, 29.6°, I = 32; hkl 2 1 1, 30.8°, I = 26; hkl 2 2 1, 38.9°, I = 24; hkl 3 2 1, 48.3°, I = 23; hkl 1 1 3, 46.0°, I = 22; hkl 1 2 2, 39.4°, I = 21; hkl 1 0 3, 43.4°, I = 20

Atomic structure:
```
data_KSO3
_chemical_formula_sum 'K6 S6 O18'
_symmetry_space_group_name_H-M 'P 3 2 1'
_symmetry_Int_Tables_number 150
_symmetry_space_group_name_Hall 'P 3 2"'
_cell_length_a 9.9218
_cell_length_b 9.9218
_cell_length_c 6.4445
_cell_angle_alpha 90.00
_cell_angle_beta 90.00
_cell_angle_gamma 120.00
loop_
_atom_site_label
_atom_site_fract_x
_atom_site_fract_y
_atom_site_fract_z
K1 0.0000 0.2955 0.0000
K2 0.0000 0.6202 0.5000
S1 0.0000 0.0000 0.3262
S2 0.3333 0.6667 0.2404
S3 0.3333 0.6667 0.8962
O1 0.0333 0.8763 0.7326
O2 0.1720 0.6202 0.8432
O3 0.2048 0.5118 0.3000
```